Entry 1:
Computed powder diffraction line list of Mg2Be2InPt5 for a wavelength of 1.5418 Å, from the GGA-PBE geometry in Alexandria.
Peak positions follow from Bragg's law for the DFT cell and can differ from measured ones.

Structure:
Lattice parameters (Å, degrees): 9.399 9.399 3.443 90.00 90.00 90.00
Fractional coordinates of all 20 atoms:
Mg 0.175 0.325 0.000
Mg 0.325 0.825 0.000
Mg 0.675 0.175 0.000
Mg 0.825 0.675 0.000
Be 0.123 0.623 0.000
Be 0.377 0.123 0.000
Be 0.623 0.877 0.000
Be 0.877 0.377 0.000
In 0.000 0.000 0.000
In 0.500 0.500 0.000
Pt 0.000 0.500 0.500
Pt 0.073 0.784 0.500
Pt 0.216 0.073 0.500
Pt 0.284 0.573 0.500
Pt 0.427 0.284 0.500
Pt 0.500 0.000 0.500
Pt 0.573 0.716 0.500
Pt 0.716 0.427 0.500
Pt 0.784 0.927 0.500
Pt 0.927 0.216 0.500

Principal peaks in the range 2θ = 10–90°, in order of falling intensity:
d [Å]  2θ (°)  I_rel
2.250  40.07  100
3.443  25.87  85
2.280  39.53  53
2.078  43.54  49
2.102  43.04  47
1.901  47.85  44
1.240  76.88  43
2.607  34.40  40
2.664  33.64  38
4.204  21.14  36

Entry 2:
Computed powder diffraction line list of MnBe2In for a wavelength of 1.5418 Å, from the GGA-PBE geometry in Alexandria.
Peak positions follow from Bragg's law for the DFT cell and can differ from measured ones.

Structure:
Lattice parameters (Å, degrees): 4.394 4.394 4.574 103.25 103.25 38.22
Fractional coordinates of all 4 atoms:
Mn 0.000 0.000 0.000
Be 0.277 0.277 0.855
Be 0.723 0.723 0.145
In 0.500 0.500 0.500

Principal peaks in the range 2θ = 10–90°, in order of falling intensity:
d [Å]  2θ (°)  I_rel
4.028  22.07  100
2.401  37.45  52
2.233  40.40  52
1.926  47.19  34
2.179  41.43  24
2.219  40.67  22
2.014  45.02  19
1.688  54.36  19
4.437  20.01  12
1.297  72.96  12

Entry 3:
Computed powder diffraction line list of NaBe2In2 for a wavelength of 1.5418 Å, from the GGA-PBE geometry in Alexandria.
Peak positions follow from Bragg's law for the DFT cell and can differ from measured ones.

Structure:
Lattice parameters (Å, degrees): 6.926 6.926 6.926 147.49 147.49 46.65
Fractional coordinates of all 5 atoms:
Na 0.000 0.000 0.000
Be 0.250 0.750 0.500
Be 0.750 0.250 0.500
In 0.383 0.383 0.000
In 0.617 0.617 0.000

Principal peaks in the range 2θ = 10–90°, in order of falling intensity:
d [Å]  2θ (°)  I_rel
3.709  23.99  100
2.742  32.66  62
2.861  31.26  62
2.127  42.50  50
2.077  43.59  43
3.180  28.06  28
1.433  65.10  27
1.939  46.86  27
1.718  53.32  22
1.605  57.41  21